ZrMoBr: calculated powder XRD pattern (CuKα), based on a structure optimized by DFT (GGA-PBE).

a = 3.3639 Å, b = 3.3639 Å, c = 6.6981 Å
α = 90.00°, β = 90.00°, γ = 120.00°
Sites, in units of the cell vectors:
Zr  0.0000  0.0000  0.0000
Mo  0.3333  0.6667  0.7128
Br  0.6667  0.3333  0.3192

Principal peaks in the range 10° ≤ 2θ ≤ 80°, in order of falling intensity:
d_spacing, Rel. int.
2.671, 100
2.198, 56
1.682, 24
1.343, 18
2.233, 16
1.423, 14
1.452, 11
1.336, 11
6.698, 8
1.217, 7